Entry 1:
Theoretical powder XRD pattern
Compound: K
Radiation: Cu Kα, 1.54184 Å
Structure: a cell relaxed with GGA-PBE
Intensities are scaled so that the largest is 100.

Largest 6 diffraction maxima, by angle, 5 to 70 degrees two-theta:
- (1 0 1), 2θ = 22.58°, rel. 42
- (0 0 4), 2θ = 23.29°, rel. 35
- (1 0 2), 2θ = 24.76°, rel. 100
- (1 0 3), 2θ = 28.04°, rel. 24
- (1 1 0), 2θ = 38.25°, rel. 25
- (1 1 4), 2θ = 45.27°, rel. 30

Crystal structure
```
data_K
_symmetry_space_group_name_H-M 'P 63/m m c'
_symmetry_Int_Tables_number 194
_symmetry_space_group_name_Hall '-P 6c 2c'
_cell_length_a 4.7055
_cell_length_b 4.7055
_cell_length_c 15.2801
_cell_angle_alpha 90.00
_cell_angle_beta 90.00
_cell_angle_gamma 120.00
loop_
_atom_site_label
_atom_site_type_symbol
_atom_site_fract_x
_atom_site_fract_y
_atom_site_fract_z
K1 K 0.0000 0.0000 0.0000
K2 K 0.3333 0.6667 0.2500
```

Entry 2:
Theoretical powder XRD pattern
Compound: K
Radiation: Cu Kα, 1.54184 Å
Structure: a cell relaxed with GGA-PBE
Intensities are scaled so that the largest is 100.

Largest 6 diffraction maxima, by angle, 5 to 70 degrees two-theta:
- (1 0 0), 2θ = 20.54°, rel. 100
- (1 1 0), 2θ = 29.21°, rel. 79
- (1 1 1), 2θ = 35.98°, rel. 29
- (2 1 0), 2θ = 47.00°, rel. 36
- (2 1 1), 2θ = 51.80°, rel. 26
- (3 0 0), 2θ = 64.68°, rel. 16

Crystal structure
```
data_K
_symmetry_space_group_name_H-M 'P m -3 m'
_symmetry_Int_Tables_number 221
_symmetry_space_group_name_Hall '-P 4 2 3'
_cell_length_a 4.3231
_cell_length_b 4.3231
_cell_length_c 4.3231
_cell_angle_alpha 90.00
_cell_angle_beta 90.00
_cell_angle_gamma 90.00
loop_
_atom_site_label
_atom_site_type_symbol
_atom_site_fract_x
_atom_site_fract_y
_atom_site_fract_z
K1 K 0.0000 0.0000 0.0000
```

Entry 3:
Theoretical powder XRD pattern
Compound: K
Radiation: Cu Kα, 1.54184 Å
Structure: a cell relaxed with GGA-PBE
Intensities are scaled so that the largest is 100.

Largest 6 diffraction maxima, by angle, 5 to 70 degrees two-theta:
- (1 0 0), 2θ = 21.57°, rel. 23
- (0 0 2), 2θ = 23.45°, rel. 25
- (1 0 1), 2θ = 24.58°, rel. 100
- (1 1 0), 2θ = 37.81°, rel. 19
- (1 0 3), 2θ = 41.92°, rel. 21
- (1 1 2), 2θ = 44.98°, rel. 22

Crystal structure
```
data_K
_symmetry_space_group_name_H-M 'P 63/m m c'
_symmetry_Int_Tables_number 194
_symmetry_space_group_name_Hall '-P 6c 2c'
_cell_length_a 4.7582
_cell_length_b 4.7582
_cell_length_c 7.5866
_cell_angle_alpha 90.00
_cell_angle_beta 90.00
_cell_angle_gamma 120.00
loop_
_atom_site_label
_atom_site_type_symbol
_atom_site_fract_x
_atom_site_fract_y
_atom_site_fract_z
K1 K 0.3333 0.6667 0.2500
```